(1)
For Li2TiZnO4, a crystal structure in Alexandria, relaxed with PBE gives the computed powder diffractogram in this record (a wavelength of 1.5418 Å).

The 12 most intense peaks (2θ from 5° to 70°), by intensity:
| two_theta | Rel. int. |
| --- | --- |
| 18.1 | 1000 |
| 42.9 | 532 |
| 61.7 | 296 |
| 42.1 | 274 |
| 35.2 | 216 |
| 34.8 | 166 |
| 46.5 | 108 |
| 36.6 | 100 |
| 36.8 | 96 |
| 35.3 | 91 |
| 65.3 | 75 |
| 62.6 | 74 |

Crystal structure
Unit cell a=6.016 b=6.016 c=6.016 alpha=120.84 beta=120.42 gamma=88.91
Atoms (fractional coordinates):
Li (0.000, 0.000, 0.000)
Li (0.500, 0.000, 0.000)
Li (0.500, 0.000, 0.500)
Li (0.500, 0.500, 0.500)
Ti (0.000, 0.000, 0.500)
Ti (0.000, 0.500, 0.000)
Zn (0.000, 0.500, 0.500)
Zn (0.500, 0.500, 0.000)
O (0.223, 0.245, 0.978)
O (0.229, 0.235, 0.506)
O (0.229, 0.724, 0.994)
O (0.233, 0.755, 0.478)
O (0.767, 0.245, 0.522)
O (0.771, 0.276, 0.006)
O (0.771, 0.765, 0.494)
O (0.777, 0.755, 0.022)



(2)
For Pa2Ga5Pd4, a crystal structure in Alexandria, relaxed with PBE gives the computed powder diffractogram in this record (a wavelength of 1.5418 Å).

The 12 most intense peaks (2θ from 5° to 70°), by intensity:
| two_theta | Rel. int. |
| --- | --- |
| 40.1 | 1000 |
| 37.7 | 928 |
| 34.4 | 782 |
| 43.6 | 656 |
| 21.1 | 549 |
| 43.0 | 491 |
| 28.9 | 459 |
| 39.2 | 361 |
| 33.0 | 321 |
| 60.7 | 300 |
| 33.7 | 298 |
| 65.4 | 229 |

Crystal structure
Unit cell a=9.573 b=8.832 c=5.274 alpha=81.25 beta=65.76 gamma=32.99
Atoms (fractional coordinates):
Pa (0.117, 0.117, 0.883)
Pa (0.883, 0.883, 0.117)
Ga (0.000, 0.000, 0.500)
Ga (0.250, 0.250, 0.250)
Ga (0.500, 0.500, 0.000)
Ga (0.500, 0.500, 0.500)
Ga (0.750, 0.750, 0.750)
Pd (0.208, 0.529, 0.471)
Pd (0.471, 0.792, 0.208)
Pd (0.529, 0.208, 0.792)
Pd (0.792, 0.471, 0.529)



(3)
For Dy5Y2Th, a crystal structure in Alexandria, relaxed with PBE gives the computed powder diffractogram in this record (a wavelength of 1.5418 Å).

The 12 most intense peaks (2θ from 5° to 70°), by intensity:
| two_theta | Rel. int. |
| --- | --- |
| 30.8 | 1000 |
| 35.7 | 506 |
| 61.1 | 427 |
| 51.4 | 360 |
| 64.1 | 123 |
| 17.6 | 49 |
| 25.0 | 44 |
| 40.1 | 27 |
| 44.1 | 21 |
| 54.7 | 15 |
| 13.9 | 12 |
| 69.9 | 10 |

Crystal structure
Unit cell a=7.111 b=14.245 c=5.031 alpha=90.00 beta=90.00 gamma=90.00
Atoms (fractional coordinates):
Dy (0.000, 0.000, 0.000)
Dy (0.002, 0.251, 0.000)
Dy (0.246, 0.377, 0.500)
Dy (0.254, 0.877, 0.500)
Dy (0.498, 0.751, 0.000)
Dy (0.500, 0.500, 0.000)
Dy (0.502, 0.249, 0.000)
Dy (0.746, 0.123, 0.500)
Dy (0.754, 0.623, 0.500)
Dy (0.998, 0.749, 0.000)
Y (0.245, 0.623, 0.500)
Y (0.255, 0.123, 0.500)
Y (0.745, 0.877, 0.500)
Y (0.755, 0.377, 0.500)
Th (0.000, 0.500, 0.000)
Th (0.500, 0.000, 0.000)